# PmThCuPd
Theoretical X-ray diffraction stick pattern, Cu Kα (λ = 1.5418 Å). Input: DFT lattice parameters and positions (GGA-PBE).

Peak list (8 most intense, 5 to 70 degrees two-theta, sorted by position)
d [Å]  I/Imax  h k l
3.512  31  1 0 2
2.843  100  1 1 1
2.711  26  0 0 4
2.629  40  0 1 3
2.337  21  1 0 4
2.305  31  2 0 0
2.284  53  1 1 3
1.733  23  2 1 3

Structure:
```
data_PmThCuPd
_symmetry_space_group_name_H-M 'A m m 2'
_symmetry_Int_Tables_number 38
_symmetry_space_group_name_Hall 'A 2 -2'
_cell_length_a 4.6101
_cell_length_b 3.8310
_cell_length_c 10.8442
_cell_angle_alpha 90.00
_cell_angle_beta 90.00
_cell_angle_gamma 90.00
loop_
_atom_site_label
_atom_site_fract_x
_atom_site_fract_y
_atom_site_fract_z
_atom_site_occupancy
Pm1 0.0000 0.0000 0.0000 1
Th1 0.5000 0.0000 0.7194 1
Cu1 0.0000 0.0000 0.2796 1
Pd1 0.5000 0.0000 0.4303 1
```